Entry 1:
The following is a calculated powder XRD pattern of Li2CoSi2O6. It was derived from a crystal structure in the Materials Project, relaxed with GGA+U, using Cu Kα.
Kinematic intensities with the Lorentz-polarization factor, no thermal factor.

Atomic structure:
```
Li2CoSi2O6
1.0
5.4830 0.0000 0.0000
0.0000 4.7699 0.0000
-0.5281 0.0000 9.6997
Li Co Si O
4 2 4 12
Cartesian
0.6278 0.0000 3.2382 Li
1.5945 2.3880 4.7258 Li
3.3604 0.0031 4.9740 Li
4.3271 2.3850 6.4615 Li
1.3912 2.4103 1.4315 Co
3.5637 0.0254 8.2682 Co
0.7042 4.7538 6.4051 Si
1.6241 2.3558 7.9910 Si
3.3308 4.7408 1.7087 Si
4.2507 2.3688 3.2947 Si
0.3383 1.9594 3.1259 O
0.8263 1.6500 6.6437 O
0.7894 2.0027 9.2896 O
1.3787 4.3798 4.9884 O
1.7788 4.2994 1.8109 O
1.6194 4.0072 7.6034 O
3.3354 1.6222 2.0963 O
3.1761 1.9145 7.8888 O
3.5762 1.9948 4.7114 O
4.1655 4.3877 0.4102 O
4.1286 4.0350 3.0561 O
4.6166 4.3443 6.5739 O
```

Largest 10 diffraction maxima, low angle first, 2θ = 10–90°:
(0 0 2), 2θ = 18.3°, I 518
(0 1 1), 2θ = 20.8°, I 312
(1 0 -2), 2θ = 23.8°, I 363
(1 1 0), 2θ = 24.8°, I 354
(1 1 -1), 2θ = 26.1°, I 227
(1 1 1), 2θ = 26.7°, I 1000
(1 0 -3), 2θ = 31.4°, I 293
(2 0 0), 2θ = 32.7°, I 486
(0 2 0), 2θ = 37.7°, I 538
(1 1 3), 2θ = 38.1°, I 242

Entry 2:
The following is a calculated powder XRD pattern of LiCoSiO4. It was derived from a crystal structure in the Materials Project, relaxed with GGA+U, using Cu Kα.
Kinematic intensities with the Lorentz-polarization factor, no thermal factor.

Atomic structure:
```
LiCoSiO4
1.0
7.8872 0.0000 0.0000
0.0000 5.3681 0.0000
-2.2002 0.0000 8.2074
Li Co Si O
4 4 4 16
Cartesian
0.0000 0.8325 0.0000 Li
-1.1001 4.5356 4.1037 Li
3.2834 1.7853 2.5523 Li
2.1833 3.5828 6.6559 Li
0.9364 0.9137 7.6319 Co
2.0365 4.4544 3.5283 Co
5.7027 1.9067 5.2150 Co
6.8028 3.4614 1.1113 Co
0.1911 1.7707 3.1397 Si
-0.9090 3.5974 7.2434 Si
3.3442 0.8885 5.6174 Si
4.4442 4.4796 1.5137 Si
-0.8256 1.1111 4.2573 O
0.2744 4.2570 0.1536 O
-0.5865 2.0126 7.5996 O
0.5136 3.3555 3.4959 O
1.5470 0.8540 3.0356 O
0.4470 4.5141 7.1393 O
2.0713 1.6503 6.3377 O
3.1714 3.7178 2.2340 O
3.9282 0.6293 1.0860 O
2.8282 4.7388 5.1897 O
3.9985 1.6926 4.3296 O
5.0986 3.6755 0.2259 O
4.6898 0.9589 6.5752 O
5.7899 4.4092 2.4715 O
7.3318 1.7842 1.6520 O
6.2317 3.5839 5.7557 O
```

Largest 10 diffraction maxima, low angle first, 2θ = 10–90°:
(0 1 1), 2θ = 19.8°, I 502
(1 1 0), 2θ = 20.2°, I 590
(1 0 -2), 2θ = 21.8°, I 675
(1 1 1), 2θ = 24.4°, I 1000
(1 0 2), 2θ = 27.2°, I 612
(2 1 -1), 2θ = 28.5°, I 221
(2 1 -2), 2θ = 32.3°, I 550
(0 2 0), 2θ = 33.4°, I 259
(3 0 2), 2θ = 46.7°, I 353
(2 3 -2), 2θ = 59.0°, I 282

- What is the formula in the second record?
  LiCoSiO4